Theoretical powder X-ray diffraction pattern
Compound: LiMo2O4
Radiation: Cu Kα (λ = 1.5418 Å)
Structure: a DFT-relaxed cell (GGA+U, the Materials Project)
Kinematic intensities with the Lorentz-polarization factor, no thermal factor.

Main lines, by angle (10 to 90 degrees two-theta):
- (1 1 1), 4.861 Å, intensity 100
- (3 1 1), 2.538 Å, intensity 64
- (2 2 2), 2.430 Å, intensity 31
- (4 0 0), 2.105 Å, intensity 57
- (3 3 1), 1.931 Å, intensity 24
- (5 1 1), 1.620 Å, intensity 21
- (4 4 0), 1.488 Å, intensity 37
- (5 3 1), 1.423 Å, intensity 17
- (6 2 2), 1.269 Å, intensity 15
- (5 5 3), 1.096 Å, intensity 14

Cell and atoms:
Cell: 8.419 8.419 8.419 Å, 90.00 90.00 90.00°
Space group Fd-3m (No. 227, origin choice 2)
Asymmetric unit:
1 Li 0.125 0.125 0.125
2 Mo 0.000 0.000 0.500
3 O 0.001 0.001 0.749